Record 1
This entry pairs a crystal structure of SmFe2O4 with its theoretical powder XRD pattern. Radiation: Cu Kα (λ = 1.5418 Å). Structure: a cell relaxed with PBE+U.
Neutral-atom scattering factors, no anomalous dispersion.

Structure:
```
data_SmFe2O4
_chemical_formula_sum 'Sm3 Fe6 O12'
_symmetry_space_group_name_H-M 'R -3 m'
_symmetry_Int_Tables_number 166
_symmetry_space_group_name_Hall '-R 3 2"'
_cell_length_a 3.6089
_cell_length_b 3.6089
_cell_length_c 24.7129
_cell_angle_alpha 90.00
_cell_angle_beta 90.00
_cell_angle_gamma 120.00
loop_
_atom_site_label
_atom_site_type_symbol
_atom_site_fract_x
_atom_site_fract_y
_atom_site_fract_z
Sm1 Sm 0.0000 0.0000 0.0000
Fe1 Fe 0.0000 0.0000 0.2113
O1 O 0.0000 0.0000 0.1273
O2 O 0.0000 0.0000 0.2902
```

Largest 10 diffraction maxima, by intensity, 2θ = 10–80°:
2θ/deg  d/Å  I_rel
28.79  3.101  100
32.09  2.789  81
33.94  2.642  74
50.58  1.804  58
46.87  1.939  46
32.61  2.746  37
10.74  8.238  37
61.49  1.508  35
21.58  4.119  34
60.21  1.537  27


Record 2
This entry pairs a crystal structure of BaMnO3 with its theoretical powder XRD pattern. Radiation: Cu Kα (λ = 1.5418 Å). Structure: a cell relaxed with PBE+U.
Neutral-atom scattering factors, no anomalous dispersion.

Structure:
```
data_BaMnO3
_chemical_formula_sum 'Ba6 Mn6 O18'
_symmetry_space_group_name_H-M 'P 63 c m'
_symmetry_Int_Tables_number 185
_symmetry_space_group_name_Hall 'P 6c -2'
_cell_length_a 10.0546
_cell_length_b 10.0546
_cell_length_c 5.0455
_cell_angle_alpha 90.00
_cell_angle_beta 90.00
_cell_angle_gamma 120.00
loop_
_atom_site_label
_atom_site_type_symbol
_atom_site_fract_x
_atom_site_fract_y
_atom_site_fract_z
Ba1 Ba 0.0000 0.3340 0.0000
Mn1 Mn 0.0000 0.0000 0.3391
Mn2 Mn 0.3333 0.6667 0.1720
O1 O 0.0000 0.1471 0.5923
O2 O 0.1864 0.5194 0.4191
```

Largest 10 diffraction maxima, by intensity, 2θ = 10–80°:
2θ/deg  d/Å  I_rel
25.00  3.561  100
30.81  2.903  81
40.05  2.251  78
51.36  1.779  39
75.52  1.259  17
47.77  1.904  15
64.17  1.451  15
54.78  1.676  15
61.05  1.518  14
70.01  1.344  13


Record 3
This entry pairs a crystal structure of MgCr2Bi2O8 with its theoretical powder XRD pattern. Radiation: Cu Kα (λ = 1.5418 Å). Structure: a cell relaxed with PBE+U.
Neutral-atom scattering factors, no anomalous dispersion.

Structure:
```
data_MgCr2Bi2O8
_chemical_formula_sum 'Mg2 Cr4 Bi4 O16'
_symmetry_space_group_name_H-M 'C 1 2 1'
_symmetry_Int_Tables_number 5
_symmetry_space_group_name_Hall 'C 2y'
_cell_length_a 6.546
_cell_length_b 10.732
_cell_length_c 6.362
_cell_angle_alpha 90.00
_cell_angle_beta 120.47
_cell_angle_gamma 90.00
loop_
_atom_site_label
_atom_site_type_symbol
_atom_site_fract_x
_atom_site_fract_y
_atom_site_fract_z
Mg1 Mg 0.000 0.000 0.000
Cr1 Cr 0.000 0.002 0.500
Cr2 Cr 0.000 0.737 0.000
Bi1 Bi 0.000 0.298 0.000
Bi2 Bi 0.000 0.522 0.500
O1 O 0.082 0.087 0.308
O2 O 0.100 0.654 0.828
O3 O 0.225 0.420 0.321
O4 O 0.237 0.858 0.137
```

Largest 10 diffraction maxima, by intensity, 2θ = 10–80°:
2θ/deg  d/Å  I_rel
23.19  3.835  100
32.01  2.796  58
17.76  4.994  30
17.87  4.965  28
29.62  3.016  25
31.72  2.821  23
32.66  2.742  19
37.69  2.386  18
46.72  1.944  16
46.58  1.950  16